This entry pairs a crystal structure of ZnGaCoF6 with its calculated XRD peak list. Radiation: copper Kα. Structure: a crystal structure in Alexandria, relaxed with GGA+U.
Peak positions follow from Bragg's law for the DFT cell and can differ from measured ones.

Largest 10 diffraction maxima, by angle, 10° ≤ 2θ ≤ 80°:
19.20 deg, d 4.624, intensity 20
27.38 deg, d 3.257, intensity 100
33.83 deg, d 2.650, intensity 34
39.19 deg, d 2.299, intensity 31
44.06 deg, d 2.055, intensity 25
52.53 deg, d 1.742, intensity 56
56.68 deg, d 1.624, intensity 24
60.52 deg, d 1.530, intensity 24
63.69 deg, d 1.461, intensity 8
77.83 deg, d 1.227, intensity 9

Structural model:
abc: 5.2993 5.2993 9.2477
angles: 90.00 90.00 120.00
Space group P-31c (No. 163)
One atom of each set of equivalent atoms:
Zn  0.3333  0.6667  0.2500 [2 per cell]
Ga  0.3333  0.6667  0.7500 [2 per cell]
Co  0.0000  0.0000  0.0000 [2 per cell]
F  0.0197  0.3643  0.6352 [12 per cell]